1.
Structure and simulated X-ray diffraction stick pattern of SrPmPb4 (a DFT-relaxed cell (GGA-PBE, Alexandria); copper Kα).
Intensities are scaled so that the largest is 100.

The 10 most intense peaks (10° ≤ 2θ ≤ 80°), in order of falling intensity:
two_theta	I_rel
32.2	100
32.0	89
34.3	54
51.7	35
37.5	32
59.9	25
63.5	24
66.9	21
53.3	20
39.8	20

Crystal structure
Lattice parameters (Å, degrees): 12.273 12.273 6.882 90.00 90.00 157.43
Fractional coordinates of all 12 atoms:
Sr  0.224  0.776  0.750
Sr  0.776  0.224  0.250
Pm  0.068  0.932  0.250
Pm  0.932  0.068  0.750
Pb  0.079  0.921  0.750
Pb  0.353  0.647  0.515
Pb  0.353  0.647  0.985
Pb  0.500  0.500  0.000
Pb  0.500  0.500  0.500
Pb  0.647  0.353  0.015
Pb  0.647  0.353  0.485
Pb  0.921  0.079  0.250



2.
Structure and simulated X-ray diffraction stick pattern of SrPmTlPb (a DFT-relaxed cell (GGA-PBE, Alexandria); copper Kα).
Intensities are scaled so that the largest is 100.

The 10 most intense peaks (10° ≤ 2θ ≤ 80°), in order of falling intensity:
two_theta	I_rel
31.8	100
31.2	54
55.8	41
44.7	20
57.0	18
66.4	11
73.8	9
74.2	9
21.9	9
46.4	8

Crystal structure
Lattice parameters (Å, degrees): 4.058 4.058 7.823 90.00 90.00 90.00
Fractional coordinates of all 4 atoms:
Sr  0.000  0.000  0.000
Pm  0.000  0.000  0.498
Tl  0.500  0.500  0.732
Pb  0.500  0.500  0.267